# CdCuSb2
Theoretical powder diffraction line list, copper Kα. Input: DFT lattice parameters and positions (PBE).
Neutral-atom scattering factors, no anomalous dispersion.

a = 3.1539 Å, b = 3.9847 Å, c = 7.4361 Å
α = 90.00°, β = 90.00°, γ = 90.00°
Sites, in units of the cell vectors:
Cd (0.0000, 0.0000, 0.0000)
Cu (0.5000, 0.5000, 0.2099)
Sb (0.0000, 0.0000, 0.3901)
Sb (0.5000, 0.5000, 0.7705)

Top 10 peaks for 2θ = 10–90°, low angle first:
- hkl 0 1 1, 2θ 25.36, I 22
- hkl 0 1 2, 2θ 32.95, I 75
- hkl 1 1 0, 2θ 36.32, I 100
- hkl 1 0 2, 2θ 37.39, I 53
- hkl 0 1 3, 2θ 42.97, I 23
- hkl 0 2 0, 2θ 45.53, I 24
- hkl 1 0 3, 2θ 46.60, I 18
- hkl 1 2 2, 2θ 60.32, I 25
- hkl 2 1 2, 2θ 68.83, I 17
- hkl 1 1 5, 2θ 74.44, I 17